Entry 1:
Diffraction record for NpHgRh. The powder diffraction line list is calculated, not measured: it uses a crystal structure in Alexandria, relaxed with PBE and Cu Kα (weighted mean of Kα1 and Kα2).
Peak positions follow from Bragg's law for the DFT cell and can differ from measured ones.

The 12 most intense peaks (2θ = 10–90°), in order of falling intensity:
Position (°2θ)	d/Å	I (rel.)	h k l
34.63	2.590	100.0	2 3 0
41.49	2.177	96.6	3 1 1
40.30	2.238	79.5	3 0 1
33.81	2.651	53.0	2 0 1
35.19	2.550	29.9	2 1 1
29.34	3.044	29.8	1 0 1
44.91	2.018	29.6	3 2 1
68.64	1.367	28.3	2 3 2
30.26	2.953	26.7	3 1 0
49.78	1.832	24.8	5 1 0
28.67	3.113	19.2	3 0 0
57.22	1.610	19.2	0 0 2

Structure:
abc: 9.3397 9.3397 3.2199
angles: 90.00 90.00 90.00
Space group P4_2/m (No. 84)
One atom of each set of equivalent atoms:
Np1 0.0568 0.8417 0.0000 x4
Hg1 0.1428 0.4192 0.5000 x4
Rh1 0.2129 0.7031 0.5000 x4

***

Entry 2:
Diffraction record for NpZn17Hg. The powder diffraction line list is calculated, not measured: it uses a crystal structure in Alexandria, relaxed with PBE and Cu Kα (weighted mean of Kα1 and Kα2).
Peak positions follow from Bragg's law for the DFT cell and can differ from measured ones.

The 12 most intense peaks (2θ = 10–90°), in order of falling intensity:
Position (°2θ)	d/Å	I (rel.)	h k l
40.16	2.246	100.0	0 3 3
40.05	2.251	77.9	2 2 0
34.51	2.599	61.4	3 0 0
35.36	2.538	56.5	0 2 4
40.84	2.210	48.9	2 1 4
45.12	2.010	39.1	2 2 3
28.17	3.168	31.2	1 1 3
29.05	3.074	31.0	1 0 4
73.34	1.291	27.1	3 0 9
72.77	1.300	25.7	6 0 0
13.14	6.737	25.3	1 0 1
45.39	1.998	22.4	1 1 6

Structure:
abc: 9.0042 9.0042 13.3777
angles: 90.00 90.00 120.00
Space group R3m (No. 160, hexagonal axes)
One atom of each set of equivalent atoms:
Np1 0.0000 0.0000 0.0000 x3
Zn1 0.0000 0.0000 0.2382 x3
Zn2 0.0000 0.0000 0.4374 x3
Zn3 0.0061 0.3059 0.3349 x18
Zn4 0.0073 0.5036 0.1904 x9
Zn5 0.0085 0.5043 0.8296 x9
Zn6 0.1670 0.3339 0.8245 x9
Hg1 0.0000 0.0000 0.7453 x3

***

Entry 3:
Diffraction record for HgO3. The powder diffraction line list is calculated, not measured: it uses a crystal structure in Alexandria, relaxed with PBE and Cu Kα (weighted mean of Kα1 and Kα2).
Peak positions follow from Bragg's law for the DFT cell and can differ from measured ones.

The 12 most intense peaks (2θ = 10–90°), in order of falling intensity:
Position (°2θ)	d/Å	I (rel.)	h k l
23.72	3.750	100.0	1 1 1
23.52	3.783	49.8	0 0 2
26.04	3.422	33.1	2 0 0
41.47	2.178	31.5	1 1 3
44.56	2.033	26.7	3 1 1
35.37	2.538	26.2	2 0 2
48.55	1.875	21.1	2 2 2
41.84	2.159	18.4	2 2 0
52.51	1.743	18.1	1 3 1
32.16	2.783	17.1	0 2 0
40.23	2.242	16.4	0 2 2
56.88	1.619	15.5	3 1 3

Structure:
abc: 6.8441 5.5661 7.5652
angles: 90.00 90.00 90.00
Space group Aea2 (No. 41)
One atom of each set of equivalent atoms:
Hg1 0.0000 0.0000 0.0000 x4
O1 0.0000 0.0000 0.6170 x4
O2 0.1201 0.1507 0.5081 x8

***

Entry 4:
Diffraction record for HgOs3O12. The powder diffraction line list is calculated, not measured: it uses a crystal structure in Alexandria, relaxed with PBE and Cu Kα (weighted mean of Kα1 and Kα2).
Peak positions follow from Bragg's law for the DFT cell and can differ from measured ones.

The 12 most intense peaks (2θ = 10–90°), in order of falling intensity:
Position (°2θ)	d/Å	I (rel.)	h k l
20.46	4.342	100.0	1 1 3
23.71	3.753	60.4	1 1 6
13.69	6.467	43.6	0 0 6
11.99	7.383	38.4	0 1 2
28.35	3.149	36.8	1 1 9
33.68	2.661	25.1	3 0 0
44.07	2.055	22.1	3 0 12
27.59	3.234	15.1	0 0 12
39.97	2.256	13.9	1 1 15
39.73	2.269	13.2	2 2 3
24.11	3.691	11.6	0 2 4
57.01	1.615	11.2	0 0 24

Structure:
abc: 9.2181 9.2181 38.8025
angles: 90.00 90.00 120.00
Space group R3c (No. 161, hexagonal axes)
One atom of each set of equivalent atoms:
Hg1 0.0000 0.0000 0.0000 x6
Os1 0.0042 0.3560 0.2628 x18
O1 0.0566 0.4719 0.3004 x18
O2 0.0604 0.4880 0.2277 x18
O3 0.0898 0.5306 0.9279 x18
O4 0.0961 0.5428 0.5962 x18

***

Entry 5:
Diffraction record for PmHgOsO6. The powder diffraction line list is calculated, not measured: it uses a crystal structure in Alexandria, relaxed with PBE and Cu Kα (weighted mean of Kα1 and Kα2).
Peak positions follow from Bragg's law for the DFT cell and can differ from measured ones.

The 12 most intense peaks (2θ = 10–90°), in order of falling intensity:
Position (°2θ)	d/Å	I (rel.)	h k l
23.54	3.779	100.0	1 1 -1
30.61	2.921	88.6	1 3 0
24.96	3.567	75.6	0 2 1
27.98	3.189	60.6	1 1 1
32.78	2.732	31.2	2 0 0
45.76	1.983	30.7	1 3 -2
50.93	1.793	27.5	1 3 2
44.65	2.029	23.9	2 0 -2
39.30	2.293	23.6	0 4 1
38.65	2.330	23.2	2 2 -1
57.16	1.612	21.9	3 3 0
36.56	2.458	21.9	0 0 2

Structure:
abc: 5.5653 10.3678 5.0076
angles: 90.00 100.97 90.00
Space group C2 (No. 5)
One atom of each set of equivalent atoms:
Pm1 0.0000 0.0000 0.0000 x2
Hg1 0.0000 0.3068 0.5000 x2
Os1 0.0000 0.6672 0.0000 x2
O1 0.1705 0.8151 0.2160 x4
O2 0.1896 0.5484 0.2309 x4
O3 0.2384 0.6654 0.7894 x4

***

Entry 6:
Diffraction record for Hg9P4O16. The powder diffraction line list is calculated, not measured: it uses a crystal structure in Alexandria, relaxed with PBE and Cu Kα (weighted mean of Kα1 and Kα2).
Peak positions follow from Bragg's law for the DFT cell and can differ from measured ones.

The 12 most intense peaks (2θ = 10–90°), in order of falling intensity:
Position (°2θ)	d/Å	I (rel.)	h k l
17.92	4.949	100.0	2 1 1
27.37	3.259	97.1	3 1 2
27.70	3.220	72.3	3 2 1
45.99	1.973	70.6	2 5 3
34.91	2.570	56.3	5 1 1
29.35	3.043	51.7	0 4 2
47.60	1.910	42.3	3 1 5
18.07	4.910	41.7	3 0 0
33.74	2.657	37.5	1 0 4
38.11	2.361	27.8	4 3 1
45.17	2.007	26.9	6 2 1
23.28	3.822	23.5	1 3 1

Structure:
abc: 17.0099 17.0099 10.8038
angles: 90.00 90.00 120.00
Space group R3c (No. 161, hexagonal axes)
One atom of each set of equivalent atoms:
Hg1 0.0560 0.1678 0.0000 x18
Hg2 0.1321 0.3799 0.6867 x18
Hg3 0.1836 0.4619 0.4609 x18
P1 0.0000 0.0000 0.2079 x6
P2 0.0331 0.2638 0.2953 x18
O1 0.0000 0.0000 0.3489 x6
O2 0.0197 0.2067 0.4134 x18
O3 0.0629 0.3640 0.3278 x18
O4 0.0720 0.5091 0.8703 x18
O5 0.0909 0.0109 0.6509 x18
O6 0.1160 0.3861 0.8985 x18

***

Entry 7:
Diffraction record for HgPO2. The powder diffraction line list is calculated, not measured: it uses a crystal structure in Alexandria, relaxed with PBE and Cu Kα (weighted mean of Kα1 and Kα2).
Peak positions follow from Bragg's law for the DFT cell and can differ from measured ones.

The 12 most intense peaks (2θ = 10–90°), in order of falling intensity:
Position (°2θ)	d/Å	I (rel.)	h k l
31.54	2.837	100.0	2 2 0
37.16	2.419	45.3	3 1 1
19.16	4.633	39.9	1 1 1
56.16	1.638	39.2	4 2 2
74.84	1.269	17.2	6 2 0
65.84	1.418	15.0	4 4 0
59.90	1.544	14.9	5 1 1
45.20	2.006	14.0	4 0 0
49.52	1.841	12.4	3 3 1
69.28	1.356	9.7	5 3 1
86.65	1.124	5.8	7 1 1
78.10	1.224	5.2	5 3 3

Structure:
abc: 8.0242 8.0242 8.0242
angles: 90.00 90.00 90.00
Space group Fd-3m (No. 227, origin choice 2)
One atom of each set of equivalent atoms:
Hg1 0.1250 0.1250 0.1250 x8
P1 0.1250 0.1250 0.6250 x8
O1 0.0000 0.0000 0.5000 x16

***

Entry 8:
Diffraction record for Hg2PO4. The powder diffraction line list is calculated, not measured: it uses a crystal structure in Alexandria, relaxed with PBE and Cu Kα (weighted mean of Kα1 and Kα2).
Peak positions follow from Bragg's law for the DFT cell and can differ from measured ones.

The 12 most intense peaks (2θ = 10–90°), in order of falling intensity:
Position (°2θ)	d/Å	I (rel.)	h k l
30.13	2.966	100.0	2 2 1
24.53	3.629	50.4	1 3 -1
18.28	4.853	49.8	0 2 1
19.77	4.490	44.8	2 0 0
34.38	2.608	40.0	2 4 -1
12.13	7.298	39.9	1 1 0
33.38	2.684	35.2	1 1 -3
45.02	2.014	30.9	4 2 -3
47.62	1.910	30.4	4 4 -1
28.17	3.168	25.3	2 2 -2
30.71	2.912	20.0	3 1 0
46.41	1.957	18.6	1 5 2

Structure:
abc: 9.6788 12.5214 8.2803
angles: 90.00 111.89 90.00
Space group C2/c (No. 15)
One atom of each set of equivalent atoms:
Hg1 0.1576 0.1015 0.4478 x8
Hg2 0.2389 0.1821 0.2009 x8
P1 0.0000 0.1370 0.7500 x4
P2 0.0000 0.4387 0.2500 x4
O1 0.0421 0.3557 0.1358 x8
O2 0.0705 0.0615 0.6530 x8
O3 0.1176 0.2088 0.8864 x8
O4 0.1314 0.4904 0.8643 x8

***

Entry 9:
Diffraction record for Hg3PO4. The powder diffraction line list is calculated, not measured: it uses a crystal structure in Alexandria, relaxed with PBE and Cu Kα (weighted mean of Kα1 and Kα2).
Peak positions follow from Bragg's law for the DFT cell and can differ from measured ones.

The 12 most intense peaks (2θ = 10–90°), in order of falling intensity:
Position (°2θ)	d/Å	I (rel.)	h k l
28.95	3.084	100.0	1 1 2
31.12	2.874	67.8	2 1 -4
29.92	2.986	67.4	3 0 -2
41.49	2.176	41.4	0 2 3
19.84	4.474	36.6	1 1 -1
14.54	6.093	35.6	0 0 2
47.93	1.898	32.7	3 2 -1
27.82	3.207	29.7	2 1 -3
35.60	2.522	27.3	0 2 1
34.75	2.582	27.0	3 1 -2
24.09	3.695	26.8	1 1 1
26.75	3.333	26.4	2 1 -1

Structure:
abc: 9.0559 5.1547 14.4886
angles: 90.00 122.74 90.00
Space group P2_1/c (No. 14)
One atom of each set of equivalent atoms:
Hg1 0.0458 0.1331 0.0881 x4
Hg2 0.2645 0.1383 0.4512 x4
Hg3 0.4460 0.6565 0.1236 x4
P1 0.2339 0.6124 0.2729 x4
O1 0.0664 0.5165 0.1637 x4
O2 0.2288 0.5256 0.3741 x4
O3 0.2389 0.5863 0.7705 x4
O4 0.4011 0.5012 0.2788 x4

***

Entry 10:
Diffraction record for HgP2Pd2O8. The powder diffraction line list is calculated, not measured: it uses a crystal structure in Alexandria, relaxed with PBE and Cu Kα (weighted mean of Kα1 and Kα2).
Peak positions follow from Bragg's law for the DFT cell and can differ from measured ones.

The 12 most intense peaks (2θ = 10–90°), in order of falling intensity:
Position (°2θ)	d/Å	I (rel.)	h k l
26.54	3.359	100.0	1 3 1
22.20	4.004	83.7	1 1 3
31.66	2.826	64.9	1 1 5
37.15	2.420	56.2	2 2 4
31.49	2.841	38.6	2 2 2
40.75	2.214	31.2	1 5 1
37.98	2.369	27.8	0 4 4
29.38	3.040	27.8	2 2 0
39.23	2.296	24.0	3 1 1
56.76	1.622	20.2	4 0 4
41.41	2.180	19.0	2 4 2
53.56	1.711	17.5	3 3 5

Structure:
abc: 7.1004 11.7789 15.9598
angles: 90.00 90.00 90.00
Space group Fddd (No. 70, origin choice 2)
One atom of each set of equivalent atoms:
Hg1 0.1250 0.1250 0.1250 x8
P1 0.1250 0.1250 0.3305 x16
Pd1 0.0000 0.0000 0.5000 x16
O1 0.0505 0.3722 0.5222 x32
O2 0.1167 0.0161 0.8633 x32